[1]
Nb12TlTe16: computed PXRD pattern (Cu Kα, 1.54184 Å), based on a GGA-PBE-relaxed structure.
Neutral-atom scattering factors, no anomalous dispersion.

Structure:
```
data_Nb12TlTe16
_cell_length_a 21.6319
_cell_length_b 7.3328
_cell_length_c 10.8270
_cell_angle_alpha 90.00
_cell_angle_beta 120.00
_cell_angle_gamma 90.00
_space_group_name_H-M_alt 'C 1 m 1'
_space_group_IT_number 8
loop_
_space_group_symop_operation_xyz
'x,y,z'
'x,-y,z'
'x+1/2,y+1/2,z'
'x+1/2,-y+1/2,z'
loop_
_atom_site_label
_atom_site_fract_x
_atom_site_fract_y
_atom_site_fract_z
_atom_site_occupancy
Nb1 0.0000 0.0000 0.0000 1
Nb2 0.0011 0.5000 0.9984 1
Nb3 0.1021 0.2537 0.2246 1
Nb4 0.2460 0.2393 0.1043 1
Nb5 0.2936 0.0000 0.7152 1
Nb6 0.2960 0.5000 0.7149 1
Nb7 0.3061 0.2601 0.5126 1
Nb8 0.3572 0.0000 0.1248 1
Nb9 0.3605 0.5000 0.1290 1
Tl1 0.0521 0.5000 0.6161 1
Te1 0.0178 0.5000 0.2721 1
Te2 0.0199 0.0000 0.2758 1
Te3 0.0840 0.2476 0.9489 1
Te4 0.1861 0.2515 0.5483 1
Te5 0.2179 0.5000 0.2766 1
Te6 0.2185 0.0000 0.2846 1
Te7 0.2197 0.0000 0.8833 1
Te8 0.2231 0.5000 0.8942 1
Te9 0.3838 0.2506 0.3438 1
Te10 0.3847 0.2491 0.9469 1
Te11 0.4115 0.0000 0.6766 1
Te12 0.4166 0.5000 0.6809 1
```

Main lines, in order of falling intensity (5 to 70 degrees two-theta):
h k l	two_theta	I/Imax
4 2 -3	35.23	100
8 0 -1	34.51	74
0 2 2	30.97	67
0 0 3	28.57	48
4 2 2	41.48	36
2 0 -1	9.44	35
8 4 -1	61.94	26
2 2 -2	29.43	25
0 4 0	49.74	24
8 0 1	44.29	22


[2]
Nd4N2Cl: computed PXRD pattern (Cu Kα, 1.54184 Å), based on a GGA-PBE-relaxed structure.
Neutral-atom scattering factors, no anomalous dispersion.

Structure:
```
data_Nd4N2Cl
_cell_length_a 3.6776
_cell_length_b 3.6776
_cell_length_c 40.3299
_cell_angle_alpha 90.00
_cell_angle_beta 90.00
_cell_angle_gamma 120.00
_space_group_name_H-M_alt 'R -3 m'
_space_group_IT_number 166
_space_group_name_Hall '-R 3 2"'
loop_
_atom_site_label
_atom_site_fract_x
_atom_site_fract_y
_atom_site_fract_z
_atom_site_occupancy
Nd1 0.0000 0.0000 0.1219 1
Nd2 0.0000 0.0000 0.2785 1
N1 0.0000 0.0000 0.4201 1
Cl1 0.0000 0.0000 0.0000 1
```

Main lines, in order of falling intensity (5 to 70 degrees two-theta):
h k l	two_theta	I/Imax
1 0 7	32.11	100
0 1 5	30.17	68
0 1 8	33.28	51
1 1 0	49.57	46
1 0 13	40.60	41
0 0 12	26.52	29
0 0 6	13.17	29
0 1 20	53.81	24
0 1 2	28.37	23
1 1 12	57.10	22


[3]
Ta10V4W: computed PXRD pattern (Cu Kα, 1.54184 Å), based on a GGA-PBE-relaxed structure.
Neutral-atom scattering factors, no anomalous dispersion.

Structure:
```
data_Ta10V4W
_cell_length_a 9.6976
_cell_length_b 9.6976
_cell_length_c 6.1700
_cell_angle_alpha 90.00
_cell_angle_beta 90.00
_cell_angle_gamma 90.00
_space_group_name_H-M_alt 'I 4/m'
_space_group_IT_number 87
_space_group_name_Hall '-I 4'
loop_
_atom_site_label
_atom_site_fract_x
_atom_site_fract_y
_atom_site_fract_z
_atom_site_occupancy
Ta1 0.0000 0.5000 0.2500 1
Ta2 0.1012 0.7963 0.2466 1
V1 0.0999 0.3003 0.0000 1
W1 0.0000 0.0000 0.5000 1
```

Main lines, in order of falling intensity (5 to 70 degrees two-theta):
h k l	two_theta	I/Imax
1 3 2	41.52	100
1 3 0	29.12	55
4 2 0	41.65	50
0 0 2	28.94	27
4 2 2	51.51	23
7 1 0	68.36	20
2 6 0	60.37	17
2 1 1	25.10	14
1 3 4	68.03	10
0 0 4	59.97	9


[4]
Ag2Pd4Au5: computed PXRD pattern (Cu Kα, 1.54184 Å), based on a GGA-PBE-relaxed structure.
Neutral-atom scattering factors, no anomalous dispersion.

Structure:
```
data_Ag2Pd4Au5
_cell_length_a 4.9770
_cell_length_b 5.0011
_cell_length_c 7.6382
_cell_angle_alpha 89.85
_cell_angle_beta 83.84
_cell_angle_gamma 80.53
_space_group_name_H-M_alt 'P -1'
_space_group_IT_number 2
loop_
_space_group_symop_operation_xyz
'x,y,z'
'-x,-y,-z'
loop_
_atom_site_label
_atom_site_fract_x
_atom_site_fract_y
_atom_site_fract_z
_atom_site_occupancy
Ag1 0.0871 0.3175 0.1370 1
Pd1 0.1848 0.1356 0.7714 1
Pd2 0.4559 0.5907 0.6822 1
Au1 0.0000 0.5000 0.5000 1
Au2 0.2758 0.9498 0.4095 1
Au3 0.3630 0.7721 0.0457 1
```

Main lines, in order of falling intensity (5 to 70 degrees two-theta):
h k l	two_theta	I/Imax
1 0 3	38.22	100
1 2 2	44.40	65
-1 1 2	38.13	52
2 1 0	38.36	49
2 -1 1	44.51	32
3 0 -2	64.74	22
0 1 5	64.48	21
1 -2 4	64.67	11
3 1 3	64.85	11
1 0 1	20.54	7